Computed PXRD pattern
Compound: LaMgCrFeO6
Radiation: Cu Kα
Structure: the PBE+U geometry in Alexandria
Intensities are scaled so that the largest is 100.

Cell and atoms:
```
data_LaMgCrFeO6
_cell_length_a 5.2798
_cell_length_b 5.4796
_cell_length_c 9.2708
_cell_angle_alpha 90.00
_cell_angle_beta 123.79
_cell_angle_gamma 90.00
_space_group_name_H-M_alt 'P 1'
_space_group_IT_number 1
_space_group_name_Hall 'P 1'
loop_
_atom_site_label
_atom_site_fract_x
_atom_site_fract_y
_atom_site_fract_z
La1 0.0000 0.2091 0.0000
La2 0.0000 0.7909 0.5000
Mg1 0.4516 0.3077 0.4970
Mg2 0.4516 0.6923 0.9970
Cr1 0.7414 0.2605 0.2530
Cr2 0.7414 0.7395 0.7530
Fe1 0.2410 0.2450 0.7481
Fe2 0.2410 0.7550 0.2481
O1 0.0211 0.4839 0.8057
O2 0.0211 0.5161 0.3057
O3 0.1008 0.0551 0.3065
O4 0.1008 0.9449 0.8065
O5 0.4027 0.4904 0.1869
O6 0.4027 0.5096 0.6869
O7 0.4834 0.0470 0.6874
O8 0.4834 0.9530 0.1874
O9 0.5727 0.2885 0.0103
O10 0.5727 0.7115 0.5103
O11 0.8314 0.2314 0.4831
O12 0.8314 0.7686 0.9831
```

Main lines, sorted by position (10 to 90 degrees two-theta):
2θ (°)	I_rel
19.88	61
32.68	42
32.91	100
33.30	91
33.96	37
47.85	51